Diffraction record for PmHo5Cd6. The powder diffractogram is simulated, not measured: it uses a DFT-relaxed cell (GGA-PBE, Alexandria) and Cu Kα X-rays.
Neutral-atom scattering factors, no anomalous dispersion.

Structural model:
```
data_PmHo5Cd6
_chemical_formula_sum 'Pm2 Ho10 Cd12'
_cell_length_a 5.2786
_cell_length_b 15.8818
_cell_length_c 7.5273
_cell_angle_alpha 90.00
_cell_angle_beta 90.00
_cell_angle_gamma 90.00
_symmetry_space_group_name_H-M 'C m m m'
_symmetry_Int_Tables_number 65
_symmetry_space_group_name_Hall '-C 2 2'
loop_
_atom_site_label
_atom_site_fract_x
_atom_site_fract_y
_atom_site_fract_z
Pm1 0.0000 0.0000 0.0000
Ho1 0.0000 0.0000 0.5000
Ho2 0.0000 0.3320 0.0000
Ho3 0.0000 0.3352 0.5000
Cd1 0.0000 0.1690 0.2546
Cd2 0.0000 0.5000 0.2541
```

Peak list (10 most intense, 2θ from 10° to 90°, by intensity)
- 33.81°, intensity 100.0, (1 3 2)
- 33.97°, intensity 19.8, (2 0 0)
- 60.38°, intensity 14.6, (2 0 4)
- 60.68°, intensity 14.5, (3 3 2)
- 60.55°, intensity 14.5, (1 9 2)
- 48.72°, intensity 14.1, (2 6 0)
- 81.34°, intensity 9.3, (3 9 2)
- 71.09°, intensity 8.9, (2 6 4)
- 48.37°, intensity 7.2, (0 0 4)
- 80.81°, intensity 6.3, (1 3 6)